[1]
Starting from a structure optimized by DFT (PBE), the X-ray diffraction stick pattern of EuB12 was calculated for λ = 1.5418 Å (Cu Kα).
Peak positions follow from Bragg's law for the DFT cell and can differ from measured ones.

Crystal structure
Lattice parameters (Å, degrees): 5.3127 5.3127 5.3127 60.00 60.00 60.00
Element x y z (fractional)
Eu (0.0000, 0.0000, 0.0000)
B (0.1631, 0.5000, 0.5000)
B (0.1631, 0.5000, 0.8369)
B (0.1631, 0.8369, 0.5000)
B (0.5000, 0.1631, 0.5000)
B (0.5000, 0.1631, 0.8369)
B (0.5000, 0.5000, 0.1631)
B (0.5000, 0.5000, 0.8369)
B (0.5000, 0.8369, 0.1631)
B (0.5000, 0.8369, 0.5000)
B (0.8369, 0.1631, 0.5000)
B (0.8369, 0.5000, 0.1631)
B (0.8369, 0.5000, 0.5000)

Principal peaks in the range 2θ = 10–80°, most intense first:
2θ (°)  intensity
39.79  100
20.47  89
23.68  71
33.74  42
53.13  32
74.75  31
41.64  30
60.35  28
54.63  23
76.00  21


[2]
Starting from a structure optimized by DFT (PBE), the X-ray diffraction stick pattern of Tb3Mn3Ga2Si was calculated for λ = 1.5418 Å (Cu Kα).
Peak positions follow from Bragg's law for the DFT cell and can differ from measured ones.

Crystal structure
Lattice parameters (Å, degrees): 7.0114 7.0114 4.1806 90.00 90.00 120.00
Element x y z (fractional)
Tb (0.0030, 0.5824, 0.0000)
Tb (0.4176, 0.4206, 0.0000)
Tb (0.5794, 0.9970, 0.0000)
Mn (0.0114, 0.2415, 0.5000)
Mn (0.2301, 0.9886, 0.5000)
Mn (0.7585, 0.7699, 0.5000)
Ga (0.0000, 0.0000, 0.0000)
Ga (0.6667, 0.3333, 0.5000)
Si (0.3333, 0.6667, 0.5000)

Principal peaks in the range 2θ = 10–80°, most intense first:
2θ (°)  intensity
36.58  100
33.36  92
39.26  40
59.14  34
29.42  30
43.28  27
59.85  22
25.41  19
54.49  19
21.25  19


[3]
Starting from a structure optimized by DFT (PBE), the X-ray diffraction stick pattern of LaPrTl2 was calculated for λ = 1.5418 Å (Cu Kα).
Peak positions follow from Bragg's law for the DFT cell and can differ from measured ones.

Crystal structure
Lattice parameters (Å, degrees): 7.9408 7.9408 7.9408 90.00 90.00 90.00
Element x y z (fractional)
La (0.0000, 0.0000, 0.0000)
La (0.0000, 0.5000, 0.5000)
La (0.5000, 0.0000, 0.5000)
La (0.5000, 0.5000, 0.0000)
Pr (0.0000, 0.0000, 0.5000)
Pr (0.0000, 0.5000, 0.0000)
Pr (0.5000, 0.0000, 0.0000)
Pr (0.5000, 0.5000, 0.5000)
Tl (0.2500, 0.2500, 0.2500)
Tl (0.2500, 0.2500, 0.7500)
Tl (0.2500, 0.7500, 0.2500)
Tl (0.2500, 0.7500, 0.7500)
Tl (0.7500, 0.2500, 0.2500)
Tl (0.7500, 0.2500, 0.7500)
Tl (0.7500, 0.7500, 0.2500)
Tl (0.7500, 0.7500, 0.7500)

Principal peaks in the range 2θ = 10–80°, most intense first:
2θ (°)  intensity
31.88  100
56.80  39
45.70  19
75.76  17
66.62  12
22.39  4
51.46  2
39.30  1
71.25  1


[4]
Starting from a structure optimized by DFT (PBE), the X-ray diffraction stick pattern of Sr4LiSm2Ta2O12 was calculated for λ = 1.5418 Å (Cu Kα).
Peak positions follow from Bragg's law for the DFT cell and can differ from measured ones.

Crystal structure
Lattice parameters (Å, degrees): 5.8183 6.1820 8.4429 88.28 89.16 89.25
Element x y z (fractional)
Sr (0.0000, 0.0000, 0.0000)
Sr (0.0450, 0.1619, 0.5302)
Sr (0.4770, 0.6130, 0.4961)
Sr (0.5348, 0.5007, 0.9892)
Li (0.8793, 0.8375, 0.3960)
Sm (0.0163, 0.5222, 0.2299)
Sm (0.5226, 0.0609, 0.7478)
Ta (0.0165, 0.5756, 0.7480)
Ta (0.5027, 0.0517, 0.2476)
O (0.1144, 0.5864, 0.9758)
O (0.2039, 0.8435, 0.6969)
O (0.2163, 0.8720, 0.2999)
O (0.2970, 0.3761, 0.7042)
O (0.3313, 0.3230, 0.3086)
O (0.4234, 0.0853, 0.0187)
O (0.6291, 0.0124, 0.4777)
O (0.7028, 0.7764, 0.2075)
O (0.7418, 0.7581, 0.8034)
O (0.7856, 0.2398, 0.1948)
O (0.8302, 0.2969, 0.7916)
O (0.9299, 0.5584, 0.5092)

Principal peaks in the range 2θ = 10–80°, most intense first:
2θ (°)  intensity
30.14  100
30.26  98
29.32  90
29.84  90
30.74  89
28.90  83
21.08  74
42.87  52
20.84  44
54.42  44


[5]
Starting from a structure optimized by DFT (PBE), the X-ray diffraction stick pattern of Dy4Al24Pd9 was calculated for λ = 1.5418 Å (Cu Kα).
Peak positions follow from Bragg's law for the DFT cell and can differ from measured ones.

Crystal structure
Lattice parameters (Å, degrees): 7.4794 7.5287 13.2464 84.88 79.39 60.45
Element x y z (fractional)
Dy (0.0619, 0.3311, 0.3088)
Dy (0.2682, 0.9979, 0.6915)
Dy (0.7318, 0.0021, 0.3085)
Dy (0.9381, 0.6689, 0.6912)
Al (0.0189, 0.6663, 0.4450)
Al (0.1190, 0.6654, 0.1704)
Al (0.1461, 0.3332, 0.0584)
Al (0.1860, 0.0008, 0.9412)
Al (0.1932, 0.8685, 0.3154)
Al (0.2317, 0.6594, 0.8305)
Al (0.3170, 0.6675, 0.5464)
Al (0.3527, 0.0006, 0.4452)
Al (0.3964, 0.4587, 0.3161)
Al (0.3977, 0.3366, 0.6830)
Al (0.4431, 0.9940, 0.1704)
Al (0.4792, 0.6670, 0.0606)
Al (0.5208, 0.3330, 0.9394)
Al (0.5569, 0.0060, 0.8296)
Al (0.6023, 0.6634, 0.3170)
Al (0.6036, 0.5413, 0.6839)
Al (0.6473, 0.9994, 0.5548)
Al (0.6830, 0.3325, 0.4536)
Al (0.7683, 0.3406, 0.1695)
Al (0.8068, 0.1315, 0.6846)
Al (0.8140, 0.9992, 0.0588)
Al (0.8539, 0.6668, 0.9416)
Al (0.8810, 0.3346, 0.8296)
Al (0.9811, 0.3337, 0.5550)
Pd (0.0000, 0.0000, 0.5000)
Pd (0.1134, 0.0065, 0.1380)
Pd (0.2056, 0.3334, 0.8616)
Pd (0.3280, 0.3291, 0.4997)
Pd (0.4532, 0.3260, 0.1370)
Pd (0.5468, 0.6740, 0.8630)
Pd (0.6720, 0.6709, 0.5003)
Pd (0.7944, 0.6666, 0.1384)
Pd (0.8866, 0.9935, 0.8620)

Principal peaks in the range 2θ = 10–80°, most intense first:
2θ (°)  intensity
28.54  100
41.64  93
30.03  78
41.36  73
41.80  71
38.26  66
34.72  56
23.70  55
28.79  49
34.44  45


[6]
Starting from a structure optimized by DFT (PBE), the X-ray diffraction stick pattern of Si was calculated for λ = 1.5418 Å (Cu Kα).
Peak positions follow from Bragg's law for the DFT cell and can differ from measured ones.

Crystal structure
Lattice parameters (Å, degrees): 13.8878 3.8717 6.3609 90.00 96.81 90.00
Element x y z (fractional)
Si (0.0557, 0.0000, 0.3739)
Si (0.0592, 0.5000, 0.1537)
Si (0.2130, 0.0000, 0.5571)
Si (0.2272, 0.5000, 0.0857)
Si (0.2728, 0.0000, 0.9143)
Si (0.2870, 0.5000, 0.4429)
Si (0.4408, 0.0000, 0.8463)
Si (0.4443, 0.5000, 0.6261)
Si (0.5557, 0.5000, 0.3739)
Si (0.5592, 0.0000, 0.1537)
Si (0.7130, 0.5000, 0.5571)
Si (0.7272, 0.0000, 0.0857)
Si (0.7728, 0.5000, 0.9143)
Si (0.7870, 0.0000, 0.4429)
Si (0.9408, 0.5000, 0.8463)
Si (0.9443, 0.0000, 0.6261)

Principal peaks in the range 2θ = 10–80°, most intense first:
2θ (°)  intensity
27.39  100
25.84  28
50.46  28
46.94  28
51.29  24
20.16  24
52.61  22
17.88  21
27.98  21
32.56  19